Computed powder diffractogram
Compound: Lu2O3
Radiation: Cu Kα
Structure: the PBE geometry in Alexandria

Structure:
a = 8.975 Å, b = 8.975 Å, c = 8.975 Å
α = 109.47°, β = 109.47°, γ = 109.47°
Positions (direct):
1 Lu 0.000 0.000 0.500
2 Lu 0.000 0.500 0.000
3 Lu 0.033 0.750 0.783
4 Lu 0.217 0.967 0.250
5 Lu 0.250 0.217 0.967
6 Lu 0.250 0.717 0.467
7 Lu 0.283 0.533 0.750
8 Lu 0.467 0.250 0.717
9 Lu 0.500 0.000 0.000
10 Lu 0.500 0.500 0.500
11 Lu 0.533 0.750 0.283
12 Lu 0.717 0.467 0.250
13 Lu 0.750 0.283 0.533
14 Lu 0.750 0.783 0.033
15 Lu 0.783 0.033 0.750
16 Lu 0.967 0.250 0.217
17 O 0.011 0.044 0.272
18 O 0.033 0.489 0.761
19 O 0.044 0.272 0.011
20 O 0.228 0.271 0.739
21 O 0.229 0.456 0.467
22 O 0.239 0.967 0.511
23 O 0.261 0.772 0.729
24 O 0.271 0.739 0.228
25 O 0.272 0.011 0.044
26 O 0.456 0.467 0.229
27 O 0.467 0.229 0.456
28 O 0.489 0.761 0.033
29 O 0.511 0.239 0.967
30 O 0.533 0.771 0.544
31 O 0.544 0.533 0.771
32 O 0.728 0.989 0.956
33 O 0.729 0.261 0.772
34 O 0.739 0.228 0.271
35 O 0.761 0.033 0.489
36 O 0.771 0.544 0.533
37 O 0.772 0.729 0.261
38 O 0.956 0.728 0.989
39 O 0.967 0.511 0.239
40 O 0.989 0.956 0.728

Principal peaks in the range 2θ = 10–80°, low angle first:
2θ (°), d/Å, I (rel.)
21.0, 4.231, 10
29.9, 2.992, 100
34.6, 2.591, 36
36.8, 2.443, 6
44.6, 2.032, 9
49.8, 1.832, 37
54.6, 1.681, 5
59.1, 1.562, 31
60.6, 1.528, 6
62.0, 1.496, 7

Computed powder diffractogram
Compound: CoTc5Ge6
Radiation: Cu Kα
Structure: the PBE geometry in Alexandria

Structure:
a = 5.081 Å, b = 5.081 Å, c = 8.037 Å
α = 96.23°, β = 96.23°, γ = 119.71°
Positions (direct):
1 Co 0.000 0.000 0.000
2 Tc 0.174 0.826 0.500
3 Tc 0.344 0.656 0.000
4 Tc 0.500 0.500 0.500
5 Tc 0.656 0.344 0.000
6 Tc 0.826 0.174 0.500
7 Ge 0.075 0.400 0.241
8 Ge 0.233 0.233 0.746
9 Ge 0.400 0.075 0.241
10 Ge 0.600 0.925 0.759
11 Ge 0.767 0.767 0.254
12 Ge 0.925 0.600 0.759

Principal peaks in the range 2θ = 10–80°, low angle first:
2θ (°), d/Å, I (rel.)
38.4, 2.345, 52
38.6, 2.331, 100
46.3, 1.962, 30
47.2, 1.925, 56
47.3, 1.923, 27
63.2, 1.471, 23
63.5, 1.465, 11
74.3, 1.277, 8
74.6, 1.272, 13
76.7, 1.242, 12

Computed powder diffractogram
Compound: Ca2BRh2
Radiation: Cu Kα
Structure: the PBE geometry in Alexandria

Structure:
a = 6.003 Å, b = 6.003 Å, c = 6.229 Å
α = 99.57°, β = 99.57°, γ = 57.65°
Positions (direct):
1 Ca 0.009 0.272 0.118
2 Ca 0.272 0.009 0.618
3 Ca 0.728 0.991 0.382
4 Ca 0.991 0.728 0.882
5 B 0.461 0.539 0.250
6 B 0.539 0.461 0.750
7 Rh 0.264 0.498 0.478
8 Rh 0.498 0.264 0.978
9 Rh 0.502 0.736 0.022
10 Rh 0.736 0.502 0.522

Principal peaks in the range 2θ = 10–80°, low angle first:
2θ (°), d/Å, I (rel.)
17.6, 5.049, 69
21.8, 4.084, 27
29.2, 3.058, 53
31.0, 2.882, 23
34.7, 2.582, 63
35.8, 2.511, 39
37.3, 2.414, 100
39.9, 2.261, 76
41.3, 2.188, 29
62.1, 1.495, 23

Question: What is the formula in the third record?
Answer: Ca2BRh2